GdHO2: theoretical powder diffractogram (λ = 1.5418 Å (Cu Kα)), based on a GGA-PBE-relaxed structure.

Peak list (10 most intense, 2θ from 5° to 70°, by intensity)
- hkl 0 1 1, 3.145 Å, 2θ 28.38, intensity 100
- hkl 1 1 -1, 2.754 Å, 2θ 32.51, intensity 54
- hkl 1 0 1, 2.941 Å, 2θ 30.39, intensity 51
- hkl 1 1 2, 1.814 Å, 2θ 50.31, intensity 51
- hkl 1 0 -1, 4.065 Å, 2θ 21.87, intensity 44
- hkl 0 1 2, 2.290 Å, 2θ 39.34, intensity 36
- hkl 0 0 1, 5.788 Å, 2θ 15.31, intensity 36
- hkl 1 1 0, 2.779 Å, 2θ 32.21, intensity 35
- hkl 1 0 -2, 2.857 Å, 2θ 31.31, intensity 33
- hkl 1 0 0, 4.145 Å, 2θ 21.44, intensity 29

abc: 4.3910 3.7455 6.1324
angles: 90.00 109.28 90.00
Positions (direct):
Gd 0.1645 0.2500 0.3119
Gd 0.8355 0.7500 0.6881
H 0.4778 0.7500 0.0873
H 0.5222 0.2500 0.9127
O 0.2487 0.7500 0.0652
O 0.2653 0.7500 0.5492
O 0.7347 0.2500 0.4508
O 0.7513 0.2500 0.9348

=====

GdH3O3: theoretical powder diffractogram (λ = 1.5418 Å (Cu Kα)), based on a GGA-PBE-relaxed structure.

Peak list (10 most intense, 2θ from 5° to 70°, by intensity)
- hkl 1 0 1, 3.039 Å, 2θ 29.39, intensity 100
- hkl 1 0 0, 5.534 Å, 2θ 16.02, intensity 98
- hkl 1 1 0, 3.195 Å, 2θ 27.93, intensity 72
- hkl 2 0 1, 2.202 Å, 2θ 40.99, intensity 69
- hkl 2 1 1, 1.813 Å, 2θ 50.33, intensity 64
- hkl 3 0 0, 1.845 Å, 2θ 49.41, intensity 25
- hkl 1 3 1, 1.414 Å, 2θ 66.08, intensity 21
- hkl 1 1 2, 1.580 Å, 2θ 58.40, intensity 20
- hkl 2 0 0, 2.767 Å, 2θ 32.36, intensity 17
- hkl 2 1 0, 2.091 Å, 2θ 43.26, intensity 13

abc: 6.3896 6.3896 3.6364
angles: 90.00 90.00 120.00
Positions (direct):
Gd 0.3333 0.6667 0.2500
Gd 0.6667 0.3333 0.7500
H 0.1347 0.2743 0.7500
H 0.1396 0.8653 0.7500
H 0.2743 0.1396 0.2500
H 0.7257 0.8604 0.7500
H 0.8604 0.1347 0.2500
H 0.8653 0.7257 0.2500
O 0.0830 0.3941 0.7500
O 0.3111 0.9170 0.7500
O 0.3941 0.3111 0.2500
O 0.6059 0.6889 0.7500
O 0.6889 0.0830 0.2500
O 0.9170 0.6059 0.2500

=====

RbGdH2S2O9: theoretical powder diffractogram (λ = 1.5418 Å (Cu Kα)), based on a GGA-PBE-relaxed structure.

Peak list (10 most intense, 2θ from 5° to 70°, by intensity)
- hkl 3 1 -2, 3.144 Å, 2θ 28.39, intensity 100
- hkl 1 1 2, 3.310 Å, 2θ 26.94, intensity 92
- hkl 0 1 1, 6.310 Å, 2θ 14.03, intensity 84
- hkl 1 2 1, 3.333 Å, 2θ 26.75, intensity 71
- hkl 2 0 -4, 2.690 Å, 2θ 33.30, intensity 46
- hkl 1 1 0, 6.201 Å, 2θ 14.28, intensity 39
- hkl 1 1 -2, 4.530 Å, 2θ 19.60, intensity 37
- hkl 0 2 0, 4.207 Å, 2θ 21.12, intensity 31
- hkl 2 0 0, 4.586 Å, 2θ 19.35, intensity 30
- hkl 4 0 0, 2.294 Å, 2θ 39.28, intensity 24

abc: 10.3666 8.4144 10.7797
angles: 90.00 117.77 90.00
Positions (direct):
Rb 0.2325 0.1880 0.2173
Rb 0.2325 0.3120 0.7173
Rb 0.7675 0.6880 0.2827
Rb 0.7675 0.8120 0.7827
Gd 0.2503 0.6497 0.0242
Gd 0.2503 0.8503 0.5242
Gd 0.7497 0.1497 0.4758
Gd 0.7497 0.3503 0.9758
H 0.1973 0.5301 0.4234
H 0.1973 0.9699 0.9234
H 0.3589 0.0060 0.0267
H 0.3589 0.4940 0.5267
H 0.6411 0.5060 0.4733
H 0.6411 0.9940 0.9733
H 0.8027 0.0301 0.0766
H 0.8027 0.4699 0.5766
S 0.0475 0.6482 0.1639
S 0.0475 0.8518 0.6639
S 0.4935 0.7011 0.8771
S 0.4935 0.7989 0.3771
S 0.5065 0.2011 0.6229
S 0.5065 0.2989 0.1229
S 0.9525 0.1482 0.3361
S 0.9525 0.3518 0.8361
O 0.0486 0.7388 0.5569
O 0.0486 0.7612 0.0569
O 0.0667 0.7327 0.2922
O 0.0667 0.7673 0.7922
O 0.0947 0.0632 0.3941
O 0.0947 0.4368 0.8941
O 0.1704 0.5352 0.1957
O 0.1704 0.9648 0.6957
O 0.2738 0.5583 0.5168
O 0.2738 0.9417 0.0168
O 0.3660 0.6216 0.8808
O 0.3660 0.8784 0.3808
O 0.3950 0.0811 0.6082
O 0.3950 0.4189 0.1082
O 0.4435 0.1800 0.0097
O 0.4435 0.3200 0.5097
O 0.4439 0.7221 0.2373
O 0.4439 0.7779 0.7373
O 0.5561 0.2221 0.2627
O 0.5561 0.2779 0.7627
O 0.5565 0.6800 0.4903
O 0.5565 0.8200 0.9903
O 0.6050 0.5811 0.8918
O 0.6050 0.9189 0.3918
O 0.6340 0.1216 0.6192
O 0.6340 0.3784 0.1192
O 0.7262 0.0583 0.9832
O 0.7262 0.4417 0.4832
O 0.8296 0.0352 0.3043
O 0.8296 0.4648 0.8043
O 0.9053 0.5632 0.1059
O 0.9053 0.9368 0.6059
O 0.9333 0.2327 0.2078
O 0.9333 0.2673 0.7078
O 0.9514 0.2388 0.9431
O 0.9514 0.2612 0.4431